[1]
ScNb2Rh9: simulated X-ray diffraction stick pattern (a wavelength of 1.5418 Å), based on a structure optimized by DFT (GGA-PBE).
Neutral-atom scattering factors, no anomalous dispersion.

Most intense lines, 10° ≤ 2θ ≤ 90°, sorted by position:
2θ (°)  I (rel.)  index
15.08  10  0 0 2
22.72  15  1 0 0
27.39  7  1 0 2
32.35  13  1 1 0
39.89  1000  1 1 3
45.01  8  1 1 4
46.40  482  2 0 0
67.71  300  2 2 0
81.58  353  3 1 3
86.05  104  2 2 6

Structural model:
```
data_ScNb2Rh9
_chemical_formula_sum 'Sc1 Nb2 Rh9'
_symmetry_space_group_name_H-M 'P 4/m m m'
_symmetry_Int_Tables_number 123
_symmetry_space_group_name_Hall '-P 4 2'
_cell_length_a 3.9130
_cell_length_b 3.9130
_cell_length_c 11.7480
_cell_angle_alpha 90.00
_cell_angle_beta 90.00
_cell_angle_gamma 90.00
loop_
_atom_site_label
_atom_site_type_symbol
_atom_site_fract_x
_atom_site_fract_y
_atom_site_fract_z
_atom_site_occupancy
Sc1 Sc 0.0000 0.0000 0.0000 1
Nb1 Nb 0.0000 0.0000 0.3314 1
Rh1 Rh 0.0000 0.5000 0.1718 1
Rh2 Rh 0.0000 0.5000 0.5000 1
Rh3 Rh 0.5000 0.5000 0.0000 1
Rh4 Rh 0.5000 0.5000 0.3357 1
```

[2]
ScNbRh3: simulated X-ray diffraction stick pattern (a wavelength of 1.5418 Å), based on a structure optimized by DFT (GGA-PBE).
Neutral-atom scattering factors, no anomalous dispersion.

Most intense lines, 10° ≤ 2θ ≤ 90°, sorted by position:
2θ (°)  I (rel.)  index
17.35  592  1 1 0
35.76  226  0 0 2
38.69  336  0 2 2
39.57  1000  2 2 1
39.78  308  1 5 0
43.86  252  0 6 0
45.25  338  1 3 2
46.57  263  0 4 2
47.33  307  2 4 1
66.81  221  2 2 3

Structural model:
```
data_ScNbRh3
_chemical_formula_sum 'Sc4 Nb4 Rh12'
_symmetry_space_group_name_H-M 'C m c m'
_symmetry_Int_Tables_number 63
_symmetry_space_group_name_Hall '-C 2c 2'
_cell_length_a 5.6097
_cell_length_b 12.3857
_cell_length_c 5.0220
_cell_angle_alpha 90.00
_cell_angle_beta 90.00
_cell_angle_gamma 90.00
loop_
_atom_site_label
_atom_site_type_symbol
_atom_site_fract_x
_atom_site_fract_y
_atom_site_fract_z
_atom_site_occupancy
Sc1 Sc 0.0000 0.0849 0.2500 1
Nb1 Nb 0.0000 0.3142 0.7500 1
Rh1 Rh 0.0000 0.5000 0.0000 1
Rh2 Rh 0.2373 0.3415 0.2500 1
```

[3]
Nb2SiRh8: simulated X-ray diffraction stick pattern (a wavelength of 1.5418 Å), based on a structure optimized by DFT (GGA-PBE).
Neutral-atom scattering factors, no anomalous dispersion.

Most intense lines, 10° ≤ 2θ ≤ 90°, sorted by position:
2θ (°)  I (rel.)  index
34.48  167  0 2 2
39.50  368  1 0 5
40.51  159  0 0 6
41.23  349  2 0 0
43.19  1000  1 2 3
59.17  102  2 0 6
64.86  138  0 2 8
76.51  178  3 2 3
79.84  240  2 2 8
81.03  93  2 4 0

Structural model:
```
data_Nb2SiRh8
_chemical_formula_sum 'Nb4 Si2 Rh16'
_symmetry_space_group_name_H-M 'I m m m'
_symmetry_Int_Tables_number 71
_symmetry_space_group_name_Hall '-I 2 2'
_cell_length_a 4.3793
_cell_length_b 5.6483
_cell_length_c 13.3622
_cell_angle_alpha 90.00
_cell_angle_beta 90.00
_cell_angle_gamma 90.00
loop_
_atom_site_label
_atom_site_type_symbol
_atom_site_fract_x
_atom_site_fract_y
_atom_site_fract_z
_atom_site_occupancy
Nb1 Nb 0.0000 0.0000 0.1913 1
Si1 Si 0.0000 0.0000 0.5000 1
Rh1 Rh 0.0000 0.2459 0.0000 1
Rh2 Rh 0.0000 0.2585 0.3646 1
Rh3 Rh 0.0000 0.5000 0.1805 1
```

[4]
NbSiTe2Rh: simulated X-ray diffraction stick pattern (a wavelength of 1.5418 Å), based on a structure optimized by DFT (GGA-PBE).
Neutral-atom scattering factors, no anomalous dispersion.

Most intense lines, 10° ≤ 2θ ≤ 90°, sorted by position:
2θ (°)  I (rel.)  index
16.55  744  1 0 0
18.50  414  0 0 1
30.07  957  1 1 1
33.46  1000  2 0 0
37.52  555  0 0 2
38.50  259  2 0 1
48.05  356  2 2 0
51.13  629  2 0 2
57.72  315  3 1 1
62.50  361  2 2 2

Structural model:
```
data_NbSiTe2Rh
_chemical_formula_sum 'Nb1 Si1 Te2 Rh1'
_symmetry_space_group_name_H-M 'P 4/m m m'
_symmetry_Int_Tables_number 123
_symmetry_space_group_name_Hall '-P 4 2'
_cell_length_a 5.3562
_cell_length_b 5.3562
_cell_length_c 4.7955
_cell_angle_alpha 90.00
_cell_angle_beta 90.00
_cell_angle_gamma 90.00
loop_
_atom_site_label
_atom_site_type_symbol
_atom_site_fract_x
_atom_site_fract_y
_atom_site_fract_z
_atom_site_occupancy
Nb1 Nb 0.0000 0.0000 0.0000 1
Si1 Si 0.5000 0.5000 0.5000 1
Te1 Te 0.0000 0.5000 0.0000 1
Rh1 Rh 0.0000 0.0000 0.5000 1
```

[5]
Ta8Nb2Rh: simulated X-ray diffraction stick pattern (a wavelength of 1.5418 Å), based on a structure optimized by DFT (GGA-PBE).
Neutral-atom scattering factors, no anomalous dispersion.

Most intense lines, 10° ≤ 2θ ≤ 90°, sorted by position:
2θ (°)  I (rel.)  index
29.63  175  0 1 2
37.44  232  2 0 0
39.27  1000  0 2 1
39.63  409  1 0 3
39.98  530  1 1 2
61.51  151  2 0 4
62.54  218  2 1 3
62.80  141  3 0 2
67.55  249  2 2 0
72.63  173  0 2 5

Structural model:
```
data_Ta8Nb2Rh
_chemical_formula_sum 'Ta8 Nb2 Rh1'
_symmetry_space_group_name_H-M 'P -3 m 1'
_symmetry_Int_Tables_number 164
_symmetry_space_group_name_Hall '-P 3 2"'
_cell_length_a 5.5469
_cell_length_b 5.5469
_cell_length_c 7.7453
_cell_angle_alpha 90.00
_cell_angle_beta 90.00
_cell_angle_gamma 120.00
loop_
_atom_site_label
_atom_site_type_symbol
_atom_site_fract_x
_atom_site_fract_y
_atom_site_fract_z
_atom_site_occupancy
Ta1 Ta 0.1660 0.3321 0.2788 1
Ta2 Ta 0.3333 0.6667 0.9414 1
Nb1 Nb 0.3333 0.6667 0.5714 1
Rh1 Rh 0.0000 0.0000 0.0000 1
```

[6]
Ta3Nb8Rh: simulated X-ray diffraction stick pattern (a wavelength of 1.5418 Å), based on a structure optimized by DFT (GGA-PBE).
Neutral-atom scattering factors, no anomalous dispersion.

Most intense lines, 10° ≤ 2θ ≤ 90°, sorted by position:
2θ (°)  I (rel.)  index
10.16  213  0 0 1
32.96  421  1 1 0
36.35  563  0 1 3
39.07  1000  1 1 2
39.67  545  2 0 1
41.47  150  0 0 4
61.09  225  1 2 3
62.97  245  3 0 2
66.81  238  2 0 5
69.13  230  2 2 0

Structural model:
```
data_Ta3Nb8Rh
_chemical_formula_sum 'Ta3 Nb8 Rh1'
_symmetry_space_group_name_H-M 'P -3 m 1'
_symmetry_Int_Tables_number 164
_symmetry_space_group_name_Hall '-P 3 2"'
_cell_length_a 5.4353
_cell_length_b 5.4353
_cell_length_c 8.7106
_cell_angle_alpha 90.00
_cell_angle_beta 90.00
_cell_angle_gamma 120.00
loop_
_atom_site_label
_atom_site_type_symbol
_atom_site_fract_x
_atom_site_fract_y
_atom_site_fract_z
_atom_site_occupancy
Ta1 Ta 0.0000 0.0000 0.0000 1
Ta2 Ta 0.3333 0.6667 0.0589 1
Nb1 Nb 0.1703 0.3405 0.7466 1
Nb2 Nb 0.3333 0.6667 0.4425 1
Rh1 Rh 0.0000 0.0000 0.5000 1
```

[7]
Ta3NbRh: simulated X-ray diffraction stick pattern (a wavelength of 1.5418 Å), based on a structure optimized by DFT (GGA-PBE).
Neutral-atom scattering factors, no anomalous dispersion.

Most intense lines, 10° ≤ 2θ ≤ 90°, sorted by position:
2θ (°)  I (rel.)  index
35.08  1000  2 -1 3
39.45  979  3 0 0
53.81  295  2 2 3
59.92  143  1 1 6
68.74  281  5 -1 3
69.56  115  3 0 6
71.55  167  3 3 0
74.14  76  4 -2 6
84.92  107  6 0 0
87.40  101  4 1 6

Structural model:
```
data_Ta3NbRh
_chemical_formula_sum 'Ta18 Nb6 Rh6'
_symmetry_space_group_name_H-M 'R -3'
_symmetry_Int_Tables_number 148
_symmetry_space_group_name_Hall '-R 3'
_cell_length_a 7.9119
_cell_length_b 7.9119
_cell_length_c 10.0591
_cell_angle_alpha 90.00
_cell_angle_beta 90.00
_cell_angle_gamma 120.00
loop_
_atom_site_label
_atom_site_type_symbol
_atom_site_fract_x
_atom_site_fract_y
_atom_site_fract_z
_atom_site_occupancy
Ta1 Ta 0.0025 0.3413 0.4351 1
Nb1 Nb 0.0000 0.0000 0.3677 1
Rh1 Rh 0.0000 0.0000 0.1193 1
```

[8]
Ta2Nb4Rh5: simulated X-ray diffraction stick pattern (a wavelength of 1.5418 Å), based on a structure optimized by DFT (GGA-PBE).
Neutral-atom scattering factors, no anomalous dispersion.

Most intense lines, 10° ≤ 2θ ≤ 90°, sorted by position:
2θ (°)  I (rel.)  index
35.04  465  1 1 -2
35.52  340  3 1 -2
37.61  259  2 2 0
38.27  1000  5 1 -1
41.66  267  5 1 0
41.93  320  2 0 2
43.86  387  2 2 1
49.04  258  4 2 -2
72.40  193  0 4 0
74.05  194  2 2 -4

Structural model:
```
data_Ta2Nb4Rh5
_chemical_formula_sum 'Ta4 Nb8 Rh10'
_symmetry_space_group_name_H-M 'C 1 2/m 1'
_symmetry_Int_Tables_number 12
_symmetry_space_group_name_Hall '-C 2y'
_cell_length_a 13.1553
_cell_length_b 5.2226
_cell_length_c 6.0110
_cell_angle_alpha 90.00
_cell_angle_beta 115.08
_cell_angle_gamma 90.00
loop_
_atom_site_label
_atom_site_type_symbol
_atom_site_fract_x
_atom_site_fract_y
_atom_site_fract_z
_atom_site_occupancy
Ta1 Ta 0.1711 0.0000 0.3319 1
Nb1 Nb 0.1071 0.5000 0.5277 1
Nb2 Nb 0.2374 0.0000 0.8489 1
Rh1 Rh 0.0000 0.0000 0.5000 1
Rh2 Rh 0.0696 0.2557 0.9041 1
```